# 1
This entry pairs a crystal structure of Ce6Sn2OsN with its simulated X-ray diffraction stick pattern. Radiation: a wavelength of 1.5418 Å. Structure: a DFT-relaxed cell (PBE, Alexandria).
Peak positions follow from Bragg's law for the DFT cell and can differ from measured ones.

Crystal structure
a b c (Å): 5.151 5.151 10.343
angles (deg): 90.00 90.00 90.00
Atoms (fractional coordinates):
Ce: 0.000 0.000 0.224
Ce: 0.000 0.000 0.776
Ce: 0.000 0.500 0.000
Ce: 0.000 0.500 0.500
Ce: 0.500 0.000 0.000
Ce: 0.500 0.000 0.500
Sn: 0.500 0.500 0.239
Sn: 0.500 0.500 0.761
Os: 0.000 0.000 0.500
N: 0.000 0.000 0.000

The 8 most intense peaks (2θ = 10–80°), in order of rising 2θ:
2θ (°)  d [Å]  I (rel.)
17.2  5.158  23
30.0  2.978  100
34.7  2.586  34
34.8  2.575  74
50.0  1.825  48
50.1  1.821  27
59.5  1.554  29
62.4  1.489  25

# 2
This entry pairs a crystal structure of SrCe2OsN4 with its simulated X-ray diffraction stick pattern. Radiation: a wavelength of 1.5418 Å. Structure: a DFT-relaxed cell (PBE, Alexandria).
Peak positions follow from Bragg's law for the DFT cell and can differ from measured ones.

Crystal structure
a b c (Å): 6.234 6.234 12.379
angles (deg): 90.00 90.00 146.53
Atoms (fractional coordinates):
Sr: 0.077 0.923 0.750
Sr: 0.923 0.077 0.250
Ce: 0.367 0.633 0.549
Ce: 0.367 0.633 0.951
Ce: 0.633 0.367 0.049
Ce: 0.633 0.367 0.451
Os: 0.184 0.816 0.250
Os: 0.816 0.184 0.750
N: 0.000 0.000 0.000
N: 0.000 0.000 0.500
N: 0.254 0.746 0.106
N: 0.254 0.746 0.394
N: 0.400 0.600 0.750
N: 0.600 0.400 0.250
N: 0.746 0.254 0.606
N: 0.746 0.254 0.894

The 8 most intense peaks (2θ = 10–80°), in order of rising 2θ:
2θ (°)  d [Å]  I (rel.)
16.5  5.377  69
28.8  3.095  47
29.7  3.005  100
30.8  2.902  44
33.9  2.641  61
34.4  2.606  45
36.7  2.448  93
50.9  1.794  38

# 3
This entry pairs a crystal structure of Ce2UOsN5 with its simulated X-ray diffraction stick pattern. Radiation: a wavelength of 1.5418 Å. Structure: a DFT-relaxed cell (PBE, Alexandria).
Peak positions follow from Bragg's law for the DFT cell and can differ from measured ones.

Crystal structure
a b c (Å): 6.498 6.498 5.793
angles (deg): 90.00 90.00 90.00
Atoms (fractional coordinates):
Ce: 0.167 0.333 0.000
Ce: 0.333 0.833 0.000
Ce: 0.667 0.167 0.000
Ce: 0.833 0.667 0.000
U: 0.000 0.000 0.500
U: 0.500 0.500 0.500
Os: 0.000 0.500 0.500
Os: 0.500 0.000 0.500
N: 0.000 0.000 0.000
N: 0.157 0.657 0.272
N: 0.157 0.657 0.728
N: 0.343 0.157 0.272
N: 0.343 0.157 0.728
N: 0.500 0.500 0.000
N: 0.657 0.843 0.272
N: 0.657 0.843 0.728
N: 0.843 0.343 0.272
N: 0.843 0.343 0.728

The 8 most intense peaks (2θ = 10–80°), in order of rising 2θ:
2θ (°)  d [Å]  I (rel.)
30.9  2.897  39
31.6  2.834  100
34.5  2.598  25
39.2  2.297  25
42.3  2.136  18
44.1  2.053  23
50.7  1.800  22
55.3  1.660  22

# 4
This entry pairs a crystal structure of CeY2OsN4 with its simulated X-ray diffraction stick pattern. Radiation: a wavelength of 1.5418 Å. Structure: a DFT-relaxed cell (PBE, Alexandria).
Peak positions follow from Bragg's law for the DFT cell and can differ from measured ones.

Crystal structure
a b c (Å): 6.083 6.083 11.632
angles (deg): 90.00 90.00 147.54
Atoms (fractional coordinates):
Ce: 0.115 0.885 0.750
Ce: 0.885 0.115 0.250
Y: 0.369 0.631 0.544
Y: 0.369 0.631 0.956
Y: 0.631 0.369 0.044
Y: 0.631 0.369 0.456
Os: 0.143 0.857 0.250
Os: 0.857 0.143 0.750
N: 0.000 0.000 0.000
N: 0.000 0.000 0.500
N: 0.271 0.729 0.132
N: 0.271 0.729 0.368
N: 0.453 0.547 0.750
N: 0.547 0.453 0.250
N: 0.729 0.271 0.632
N: 0.729 0.271 0.868

The 8 most intense peaks (2θ = 10–80°), in order of rising 2θ:
2θ (°)  d [Å]  I (rel.)
15.2  5.817  48
30.6  2.920  58
30.7  2.908  49
31.4  2.847  100
38.4  2.344  99
43.9  2.061  33
63.3  1.469  28
64.2  1.450  24

# 5
This entry pairs a crystal structure of Ce3P3N with its simulated X-ray diffraction stick pattern. Radiation: a wavelength of 1.5418 Å. Structure: a DFT-relaxed cell (PBE, Alexandria).
Peak positions follow from Bragg's law for the DFT cell and can differ from measured ones.

Crystal structure
a b c (Å): 7.002 7.002 7.031
angles (deg): 93.80 93.80 113.96
Atoms (fractional coordinates):
Ce: 0.120 0.120 0.304
Ce: 0.136 0.457 0.770
Ce: 0.457 0.136 0.770
Ce: 0.543 0.864 0.230
Ce: 0.864 0.543 0.230
Ce: 0.880 0.880 0.696
P: 0.166 0.834 0.000
P: 0.241 0.759 0.500
P: 0.414 0.414 0.107
P: 0.586 0.586 0.893
P: 0.759 0.241 0.500
P: 0.834 0.166 0.000
N: 0.172 0.172 0.640
N: 0.828 0.828 0.360

The 8 most intense peaks (2θ = 10–80°), in order of rising 2θ:
2θ (°)  d [Å]  I (rel.)
25.4  3.513  23
25.5  3.487  49
28.0  3.184  50
28.1  3.171  23
29.3  3.045  100
37.1  2.421  40
42.6  2.122  24
53.7  1.708  23

# 6
This entry pairs a crystal structure of Ce4PN3 with its simulated X-ray diffraction stick pattern. Radiation: a wavelength of 1.5418 Å. Structure: a DFT-relaxed cell (PBE, Alexandria).
Peak positions follow from Bragg's law for the DFT cell and can differ from measured ones.

Crystal structure
a b c (Å): 3.577 3.577 12.795
angles (deg): 90.00 90.00 120.00
Atoms (fractional coordinates):
Ce: 0.333 0.667 0.349
Ce: 0.333 0.667 0.883
Ce: 0.667 0.333 0.117
Ce: 0.667 0.333 0.651
P: 0.000 0.000 0.500
N: 0.000 0.000 0.000
N: 0.000 0.000 0.238
N: 0.000 0.000 0.762

The 8 most intense peaks (2θ = 10–80°), in order of rising 2θ:
2θ (°)  d [Å]  I (rel.)
27.9  3.199  19
28.8  3.097  12
32.1  2.788  100
40.5  2.225  26
51.1  1.788  23
52.1  1.756  16
59.2  1.561  15
61.6  1.505  15

# 7
This entry pairs a crystal structure of CeP4N7 with its simulated X-ray diffraction stick pattern. Radiation: a wavelength of 1.5418 Å. Structure: a DFT-relaxed cell (PBE, Alexandria).
Peak positions follow from Bragg's law for the DFT cell and can differ from measured ones.

Crystal structure
a b c (Å): 10.679 5.965 4.683
angles (deg): 90.00 90.00 90.00
Atoms (fractional coordinates):
Ce: 0.000 0.171 0.000
Ce: 0.500 0.829 0.500
P: 0.131 0.700 0.375
P: 0.223 0.234 0.369
P: 0.277 0.766 0.869
P: 0.369 0.300 0.875
P: 0.631 0.300 0.875
P: 0.723 0.766 0.869
P: 0.777 0.234 0.369
P: 0.869 0.700 0.375
N: 0.000 0.821 0.265
N: 0.121 0.429 0.286
N: 0.142 0.744 0.714
N: 0.240 0.211 0.716
N: 0.260 0.789 0.216
N: 0.358 0.256 0.214
N: 0.379 0.571 0.786
N: 0.500 0.179 0.765
N: 0.621 0.571 0.786
N: 0.642 0.256 0.214
N: 0.740 0.789 0.216
N: 0.760 0.211 0.716
N: 0.858 0.744 0.714
N: 0.879 0.429 0.286

The 8 most intense peaks (2θ = 10–80°), in order of rising 2θ:
2θ (°)  d [Å]  I (rel.)
17.0  5.207  31
20.7  4.289  47
24.2  3.684  43
25.6  3.482  34
29.2  3.057  34
29.5  3.032  100
30.0  2.982  46
31.6  2.834  63

# 8
This entry pairs a crystal structure of CeP2N4 with its simulated X-ray diffraction stick pattern. Radiation: a wavelength of 1.5418 Å. Structure: a DFT-relaxed cell (PBE, Alexandria).
Peak positions follow from Bragg's law for the DFT cell and can differ from measured ones.

Crystal structure
a b c (Å): 6.599 6.599 5.452
angles (deg): 105.76 105.76 122.24
Atoms (fractional coordinates):
Ce: 0.109 0.891 0.500
Ce: 0.891 0.109 0.000
P: 0.430 0.992 0.190
P: 0.469 0.599 0.298
P: 0.599 0.469 0.798
P: 0.992 0.430 0.690
N: 0.061 0.232 0.705
N: 0.232 0.061 0.205
N: 0.286 0.765 0.832
N: 0.448 0.850 0.394
N: 0.669 0.682 0.132
N: 0.682 0.669 0.632
N: 0.765 0.286 0.332
N: 0.850 0.448 0.894

The 8 most intense peaks (2θ = 10–80°), in order of rising 2θ:
2θ (°)  d [Å]  I (rel.)
18.5  4.795  81
25.1  3.554  89
29.0  3.082  100
32.1  2.790  69
33.5  2.672  51
34.0  2.635  35
34.2  2.620  49
51.6  1.773  34